For Pm8YEr6, the GGA-PBE geometry in Alexandria gives the computed XRD peak list in this record (Cu Kα, 1.54184 Å).
Intensities are scaled so that the largest is 100.

Largest 10 diffraction maxima, sorted by position, 2θ from 5° to 70°:
2θ = 25.8°, intensity 22, (0 2 1); 2θ = 29.0°, intensity 37, (1 2 0); 2θ = 29.5°, intensity 25, (0 1 2); 2θ = 32.2°, intensity 100, (3 -1 1); 2θ = 33.0°, intensity 21, (3 0 0); 2θ = 33.4°, intensity 59, (1 1 2); 2θ = 50.9°, intensity 18, (2 3 1); 2θ = 51.5°, intensity 22, (4 1 0); 2θ = 53.0°, intensity 12, (4 0 2); 2θ = 62.0°, intensity 12, (6 -4 1)

Cell lengths 9.3969, 9.3969, 6.5276 Å; angles 90.00, 90.00, 120.00 degrees
Space group P-3 (No. 147)
One atom of each set of equivalent atoms:
1 Pm 0.0362 0.7482 0.1649 x6
2 Pm 0.3333 0.6667 0.1205 x2
3 Y 0.0000 0.0000 0.5000 x1
4 Er 0.0943 0.6566 0.6574 x6

=====

For Sm2Ge3Pd5, the GGA-PBE geometry in Alexandria gives the computed XRD peak list in this record (Cu Kα, 1.54184 Å).
Intensities are scaled so that the largest is 100.

Largest 10 diffraction maxima, sorted by position, 2θ from 5° to 70°:
2θ = 34.1°, intensity 15, (0 6 2); 2θ = 35.1°, intensity 100, (1 3 2); 2θ = 35.3°, intensity 100, (1 7 1); 2θ = 38.1°, intensity 35, (1 5 2); 2θ = 38.9°, intensity 62, (0 10 1); 2θ = 41.4°, intensity 58, (2 0 0); 2θ = 42.2°, intensity 21, (0 4 3); 2θ = 58.2°, intensity 22, (2 10 1); 2θ = 59.1°, intensity 14, (1 3 4); 2θ = 67.9°, intensity 15, (1 13 3)

Cell lengths 4.358, 24.577, 6.851 Å; angles 90.00, 90.00, 90.00 degrees
Space group Cmc2_1 (No. 36)
One atom of each set of equivalent atoms:
1 Sm 0.000 0.024 0.000 x4
2 Sm 0.000 0.326 0.961 x4
3 Ge 0.000 0.122 0.765 x4
4 Ge 0.000 0.273 0.406 x4
5 Ge 0.000 0.450 0.790 x4
6 Pd 0.000 0.095 0.393 x4
7 Pd 0.000 0.198 0.130 x4
8 Pd 0.000 0.225 0.716 x4
9 Pd 0.000 0.375 0.502 x4
10 Pd 0.000 0.444 0.166 x4

=====

For Nb14ReOs, the GGA-PBE geometry in Alexandria gives the computed XRD peak list in this record (Cu Kα, 1.54184 Å).
Intensities are scaled so that the largest is 100.

Largest 10 diffraction maxima, sorted by position, 2θ from 5° to 70°:
2θ = 13.4°, intensity 5, (0 0 1); 2θ = 19.2°, intensity 3, (1 1 0); 2θ = 23.5°, intensity 4, (1 1 1); 2θ = 30.5°, intensity 1, (2 0 1); 2θ = 33.4°, intensity 2, (1 1 2); 2θ = 38.8°, intensity 100, (2 0 2); 2θ = 39.0°, intensity 49, (2 2 0); 2θ = 46.0°, intensity 1, (3 1 1); 2θ = 55.7°, intensity 9, (0 0 4); 2θ = 56.3°, intensity 17, (4 0 0)

Cell lengths 6.532, 6.532, 6.600 Å; angles 90.00, 90.00, 90.00 degrees
Space group P4/mmm (No. 123)
One atom of each set of equivalent atoms:
1 Nb 0.000 0.000 0.000 x1
2 Nb 0.000 0.500 0.000 x2
3 Nb 0.000 0.500 0.500 x2
4 Nb 0.250 0.250 0.256 x8
5 Nb 0.500 0.500 0.000 x1
6 Re 0.000 0.000 0.500 x1
7 Os 0.500 0.500 0.500 x1

=====

For Ce2Pr2TmRh5, the GGA-PBE geometry in Alexandria gives the computed XRD peak list in this record (Cu Kα, 1.54184 Å).
Intensities are scaled so that the largest is 100.

Largest 10 diffraction maxima, sorted by position, 2θ from 5° to 70°:
2θ = 25.7°, intensity 12, (3 1 0); 2θ = 33.7°, intensity 18, (4 1 0); 2θ = 34.0°, intensity 19, (2 2 1); 2θ = 34.7°, intensity 22, (3 3 0); 2θ = 36.0°, intensity 100, (3 1 1); 2θ = 36.6°, intensity 15, (4 2 0); 2θ = 38.8°, intensity 16, (3 2 1); 2θ = 41.4°, intensity 11, (4 0 1); 2θ = 49.9°, intensity 11, (6 0 0); 2θ = 50.9°, intensity 15, (0 0 2)

Cell lengths 10.974, 10.974, 3.586 Å; angles 90.00, 90.00, 90.00 degrees
Space group P4/mbm (No. 127)
One atom of each set of equivalent atoms:
1 Ce 0.142 0.358 0.000 x4
2 Pr 0.168 0.668 0.000 x4
3 Tm 0.000 0.000 0.000 x2
4 Rh 0.000 0.500 0.500 x2
5 Rh 0.055 0.194 0.500 x8

=====

For Rb7SbH2Au2, the GGA-PBE geometry in Alexandria gives the computed XRD peak list in this record (Cu Kα, 1.54184 Å).
Intensities are scaled so that the largest is 100.

Largest 10 diffraction maxima, sorted by position, 2θ from 5° to 70°:
2θ = 7.3°, intensity 32, (0 2 0); 2θ = 14.6°, intensity 38, (0 4 0); 2θ = 19.3°, intensity 23, (1 0 1); 2θ = 20.7°, intensity 28, (1 2 1); 2θ = 22.0°, intensity 23, (0 6 0); 2θ = 27.2°, intensity 47, (0 0 2); 2θ = 27.7°, intensity 49, (2 0 0); 2θ = 29.5°, intensity 100, (1 6 1); 2θ = 39.2°, intensity 35, (2 0 2); 2θ = 50.1°, intensity 20, (3 6 1)

Cell lengths 6.437, 24.204, 6.562 Å; angles 90.00, 90.00, 90.00 degrees
Space group Imm2 (No. 44)
One atom of each set of equivalent atoms:
1 Rb 0.000 0.000 0.000 x2
2 Rb 0.000 0.095 0.539 x4
3 Rb 0.000 0.223 0.056 x4
4 Rb 0.000 0.404 0.582 x4
5 Sb 0.000 0.500 0.094 x2
6 H 0.000 0.110 0.091 x4
7 Au 0.000 0.247 0.557 x4

=====

For CaAc8Ir4, the GGA-PBE geometry in Alexandria gives the computed XRD peak list in this record (Cu Kα, 1.54184 Å).
Intensities are scaled so that the largest is 100.

Largest 10 diffraction maxima, sorted by position, 2θ from 5° to 70°:
2θ = 8.1°, intensity 48, (0 0 1); 2θ = 8.4°, intensity 48, (2 0 -1); 2θ = 12.3°, intensity 60, (2 0 -2); 2θ = 26.2°, intensity 100, (3 1 0); 2θ = 26.9°, intensity 44, (2 0 -4); 2θ = 27.5°, intensity 92, (3 1 -3); 2θ = 28.5°, intensity 42, (4 0 1); 2θ = 37.3°, intensity 51, (7 1 -2); 2θ = 40.9°, intensity 46, (0 2 0); 2θ = 42.5°, intensity 84, (1 1 4)

Cell lengths 21.145, 4.414, 14.399 Å; angles 90.00, 131.02, 90.00 degrees
Space group Cm (No. 8)
One atom of each set of equivalent atoms:
1 Ca 0.000 0.000 0.000 x2
2 Ac 0.041 0.000 0.739 x2
3 Ac 0.133 0.500 0.590 x2
4 Ac 0.166 0.500 0.345 x2
5 Ac 0.209 0.500 0.070 x2
6 Ac 0.291 0.000 0.929 x2
7 Ac 0.333 0.000 0.655 x2
8 Ac 0.366 0.000 0.409 x2
9 Ac 0.458 0.500 0.261 x2
10 Ir 0.144 0.000 0.462 x2
11 Ir 0.164 0.500 0.824 x2
12 Ir 0.336 0.000 0.175 x2
13 Ir 0.355 0.500 0.537 x2

=====

For ZnBr3O, the GGA-PBE geometry in Alexandria gives the computed XRD peak list in this record (Cu Kα, 1.54184 Å).
Intensities are scaled so that the largest is 100.

Largest 10 diffraction maxima, sorted by position, 2θ from 5° to 70°:
2θ = 13.2°, intensity 92, (0 0 1); 2θ = 14.7°, intensity 40, (2 0 0); 2θ = 23.6°, intensity 100, (2 0 -2); 2θ = 26.1°, intensity 29, (4 0 -1); 2θ = 30.1°, intensity 65, (1 1 -1); 2θ = 33.1°, intensity 39, (1 1 1); 2θ = 35.7°, intensity 74, (3 1 0); 2θ = 37.9°, intensity 33, (4 0 1); 2θ = 45.7°, intensity 28, (3 1 -3); 2θ = 47.0°, intensity 53, (5 1 0)

Cell lengths 13.652, 3.227, 7.583 Å; angles 90.00, 117.73, 90.00 degrees
Space group Cm (No. 8)
One atom of each set of equivalent atoms:
1 Zn 0.000 0.000 0.000 x2
2 Br 0.249 0.500 0.155 x2
3 Br 0.349 0.000 0.769 x2
4 Br 0.479 0.500 0.318 x2
5 O 0.094 0.500 0.032 x2

=====

For PrNd4HoSe8, the GGA-PBE geometry in Alexandria gives the computed XRD peak list in this record (Cu Kα, 1.54184 Å).
Intensities are scaled so that the largest is 100.

Largest 10 diffraction maxima, sorted by position, 2θ from 5° to 70°:
2θ = 20.5°, intensity 27, (1 0 4); 2θ = 24.1°, intensity 92, (0 2 1); 2θ = 29.1°, intensity 48, (0 2 4); 2θ = 38.2°, intensity 45, (0 2 7); 2θ = 41.7°, intensity 100, (2 2 0); 2θ = 48.7°, intensity 14, (0 1 11); 2θ = 57.8°, intensity 23, (4 0 7); 2θ = 60.4°, intensity 16, (0 4 8); 2θ = 66.0°, intensity 14, (0 0 15); 2θ = 68.5°, intensity 15, (2 4 4)

Cell lengths 8.6630, 8.6630, 21.2466 Å; angles 90.00, 90.00, 120.00 degrees
Space group R3m (No. 160, hexagonal axes)
One atom of each set of equivalent atoms:
1 Pr 0.0000 0.0000 0.0000 x3
2 Nd 0.0000 0.0000 0.6234 x3
3 Nd 0.1690 0.3379 0.8309 x9
4 Ho 0.0000 0.0000 0.3730 x3
5 Se 0.0000 0.0000 0.2446 x3
6 Se 0.0000 0.0000 0.7566 x3
7 Se 0.0077 0.5038 0.7500 x9
8 Se 0.1770 0.3540 0.5782 x9

=====

For Cs2Hg6Bi3, the GGA-PBE geometry in Alexandria gives the computed XRD peak list in this record (Cu Kα, 1.54184 Å).
Intensities are scaled so that the largest is 100.

Largest 10 diffraction maxima, sorted by position, 2θ from 5° to 70°:
2θ = 19.8°, intensity 23, (0 0 2); 2θ = 24.6°, intensity 100, (1 3 1); 2θ = 29.1°, intensity 63, (2 0 0); 2θ = 30.5°, intensity 47, (0 5 1); 2θ = 33.8°, intensity 20, (1 1 3); 2θ = 34.6°, intensity 46, (0 3 3); 2θ = 37.7°, intensity 48, (1 6 0); 2θ = 42.6°, intensity 39, (2 5 1); 2θ = 45.9°, intensity 43, (2 3 3); 2θ = 56.3°, intensity 35, (1 6 4)

Cell lengths 6.139, 15.523, 8.974 Å; angles 90.00, 90.00, 90.00 degrees
Space group Amm2 (No. 38)
One atom of each set of equivalent atoms:
1 Cs 0.000 0.167 0.000 x4
2 Hg 0.000 0.000 0.696 x2
3 Hg 0.000 0.098 0.400 x4
4 Hg 0.500 0.000 0.145 x2
5 Hg 0.500 0.179 0.681 x4
6 Bi 0.500 0.000 0.818 x2
7 Bi 0.500 0.157 0.346 x4

=====

Please write out number 9 again, unchanged.
For Cs2Hg6Bi3, the GGA-PBE geometry in Alexandria gives the computed XRD peak list in this record (Cu Kα, 1.54184 Å).
Intensities are scaled so that the largest is 100.

Largest 10 diffraction maxima, sorted by position, 2θ from 5° to 70°:
2θ = 19.8°, intensity 23, (0 0 2); 2θ = 24.6°, intensity 100, (1 3 1); 2θ = 29.1°, intensity 63, (2 0 0); 2θ = 30.5°, intensity 47, (0 5 1); 2θ = 33.8°, intensity 20, (1 1 3); 2θ = 34.6°, intensity 46, (0 3 3); 2θ = 37.7°, intensity 48, (1 6 0); 2θ = 42.6°, intensity 39, (2 5 1); 2θ = 45.9°, intensity 43, (2 3 3); 2θ = 56.3°, intensity 35, (1 6 4)

Cell lengths 6.139, 15.523, 8.974 Å; angles 90.00, 90.00, 90.00 degrees
Space group Amm2 (No. 38)
One atom of each set of equivalent atoms:
1 Cs 0.000 0.167 0.000 x4
2 Hg 0.000 0.000 0.696 x2
3 Hg 0.000 0.098 0.400 x4
4 Hg 0.500 0.000 0.145 x2
5 Hg 0.500 0.179 0.681 x4
6 Bi 0.500 0.000 0.818 x2
7 Bi 0.500 0.157 0.346 x4